Record 1
Structure and calculated X-ray diffraction stick pattern of PaTl4Br10 (a structure optimized by DFT (GGA-PBE); a wavelength of 1.5418 Å).

Structural model:
```
data_PaTl4Br10
_space_group_name_H-M_alt 'I 4/m'
_space_group_IT_number 87
_space_group_name_Hall '-I 4'
_cell_length_a 11.846
_cell_length_b 11.846
_cell_length_c 7.696
_cell_angle_alpha 90.00
_cell_angle_beta 90.00
_cell_angle_gamma 90.00
loop_
_atom_site_label
_atom_site_fract_x
_atom_site_fract_y
_atom_site_fract_z
_atom_site_occupancy
Pa1 0.000 0.000 0.000 1
Tl1 0.093 0.693 0.500 1
Br1 0.000 0.500 0.250 1
Br2 0.100 0.174 0.218 1
```

Main lines, sorted by position (10° ≤ 2θ ≤ 80°):
2θ/deg  I_rel  hkl
20.4  100  1 2 1
33.4  89  3 1 2
33.8  42  2 4 0
39.0  20  1 2 3
39.8  35  4 3 1
48.6  14  6 2 0
52.6  18  5 0 3
53.2  8  3 6 1
59.4  14  2 4 4
60.3  26  1 7 2
64.6  10  8 1 1
70.1  8  6 2 4


Record 2
Structure and calculated X-ray diffraction stick pattern of ThAlGaGe2 (a structure optimized by DFT (GGA-PBE); a wavelength of 1.5418 Å).

Structural model:
```
data_ThAlGaGe2
_space_group_name_H-M_alt 'C 1 2/m 1'
_space_group_IT_number 12
_cell_length_a 11.680
_cell_length_b 4.268
_cell_length_c 8.863
_cell_angle_alpha 90.00
_cell_angle_beta 102.40
_cell_angle_gamma 90.00
loop_
_space_group_symop_operation_xyz
'x,y,z'
'-x,-y,-z'
'-x,y,-z'
'x,-y,z'
'x+1/2,y+1/2,z'
'-x+1/2,-y+1/2,-z'
'-x+1/2,y+1/2,-z'
'x+1/2,-y+1/2,z'
loop_
_atom_site_label
_atom_site_fract_x
_atom_site_fract_y
_atom_site_fract_z
_atom_site_occupancy
Th1 0.168 0.000 0.192 1
Al1 0.044 0.500 0.880 1
Ga1 0.173 0.000 0.567 1
Ge1 0.091 0.500 0.424 1
Ge2 0.141 0.000 0.841 1
```

Main lines, sorted by position (10° ≤ 2θ ≤ 80°):
2θ/deg  I_rel  hkl
15.5  16  2 0 0
23.8  23  1 1 -1
31.0  23  0 0 3
31.4  12  4 0 0
31.5  100  3 1 0
34.9  12  3 1 -2
37.0  30  1 1 -3
39.4  16  4 0 -3
40.9  13  3 1 -3
42.4  22  0 2 0
48.5  16  3 1 3
70.7  12  3 3 0


Record 3
Structure and calculated X-ray diffraction stick pattern of NbZn (a structure optimized by DFT (GGA-PBE); a wavelength of 1.5418 Å).

Structural model:
```
data_NbZn
_space_group_name_H-M_alt 'P b c a'
_space_group_IT_number 61
_cell_length_a 4.858
_cell_length_b 4.971
_cell_length_c 11.343
_cell_angle_alpha 90.00
_cell_angle_beta 90.00
_cell_angle_gamma 90.00
loop_
_space_group_symop_operation_xyz
'x,y,z'
'-x,-y,-z'
'-x+1/2,-y,z+1/2'
'x+1/2,y,-z+1/2'
'x+1/2,-y+1/2,-z'
'-x+1/2,y+1/2,z'
'-x,y+1/2,-z+1/2'
'x,-y+1/2,z+1/2'
loop_
_atom_site_label
_atom_site_fract_x
_atom_site_fract_y
_atom_site_fract_z
_atom_site_occupancy
Nb1 0.001 0.199 0.192 1
Zn1 0.001 0.217 0.439 1
```

Main lines, sorted by position (10° ≤ 2θ ≤ 80°):
2θ/deg  I_rel  hkl
35.1  6  1 1 3
36.1  28  0 2 0
37.0  47  2 0 0
41.1  100  1 1 4
52.7  19  2 2 0
53.4  7  2 2 1
64.3  7  1 3 3
65.9  6  0 0 8
68.4  10  1 3 4
69.5  20  3 1 4
77.5  6  0 2 8
78.0  7  2 0 8


Record 4
Structure and calculated X-ray diffraction stick pattern of NaLaGa4S8 (a structure optimized by DFT (GGA-PBE); a wavelength of 1.5418 Å).

Structural model:
```
data_NaLaGa4S8
_space_group_name_H-M_alt 'F d d d'
_space_group_IT_number 70
_cell_length_a 12.286
_cell_length_b 20.503
_cell_length_c 20.632
_cell_angle_alpha 90.00
_cell_angle_beta 90.00
_cell_angle_gamma 90.00
loop_
_space_group_symop_operation_xyz
'x,y,z'
'-x,-y,-z'
'-x+1/4,-y+1/4,z'
'x+1/4,y+1/4,-z'
'x,-y+1/4,-z+1/4'
'-x,y+1/4,z+1/4'
'-x+1/4,y,-z+1/4'
'x+1/4,-y,z+1/4'
'x,y+1/2,z+1/2'
'-x,-y+1/2,-z+1/2'
'-x+1/4,-y+3/4,z+1/2'
'x+1/4,y+3/4,-z+1/2'
'x,-y+3/4,-z+3/4'
'-x,y+3/4,z+3/4'
'-x+1/4,y+1/2,-z+3/4'
'x+1/4,-y+1/2,z+3/4'
'x+1/2,y,z+1/2'
'-x+1/2,-y,-z+1/2'
'-x+3/4,-y+1/4,z+1/2'
'x+3/4,y+1/4,-z+1/2'
'x+1/2,-y+1/4,-z+3/4'
'-x+1/2,y+1/4,z+3/4'
'-x+3/4,y,-z+3/4'
'x+3/4,-y,z+3/4'
'x+1/2,y+1/2,z'
'-x+1/2,-y+1/2,-z'
'-x+3/4,-y+3/4,z'
'x+3/4,y+3/4,-z'
'x+1/2,-y+3/4,-z+1/4'
'-x+1/2,y+3/4,z+1/4'
'-x+3/4,y+1/2,-z+1/4'
'x+3/4,-y+1/2,z+1/4'
loop_
_atom_site_label
_atom_site_fract_x
_atom_site_fract_y
_atom_site_fract_z
_atom_site_occupancy
Na1 0.125 0.125 0.372 1
La1 0.125 0.125 0.125 1
La2 0.125 0.125 0.625 1
Ga1 0.086 0.305 0.250 1
Ga2 0.124 0.262 0.752 1
S1 0.002 0.344 0.497 1
S2 0.004 0.002 0.084 1
S3 0.005 0.002 0.584 1
S4 0.016 0.081 0.750 1
```

Main lines, sorted by position (10° ≤ 2θ ≤ 80°):
2θ/deg  I_rel  hkl
12.2  43  0 2 2
16.8  27  2 0 2
17.2  30  0 0 4
24.2  100  2 2 4
24.5  20  0 4 4
29.9  42  2 6 0
31.1  18  2 2 6
31.2  22  2 6 2
34.8  34  0 0 8
38.4  85  4 4 4
46.5  25  2 6 8
52.8  21  6 2 6


Record 5
Structure and calculated X-ray diffraction stick pattern of BiH2I3 (a structure optimized by DFT (GGA-PBE); a wavelength of 1.5418 Å).

Structural model:
```
data_BiH2I3
_space_group_name_H-M_alt 'P -1'
_space_group_IT_number 2
_cell_length_a 5.204
_cell_length_b 8.805
_cell_length_c 9.703
_cell_angle_alpha 93.39
_cell_angle_beta 105.45
_cell_angle_gamma 93.75
loop_
_space_group_symop_operation_xyz
'x,y,z'
'-x,-y,-z'
loop_
_atom_site_label
_atom_site_fract_x
_atom_site_fract_y
_atom_site_fract_z
_atom_site_occupancy
Bi1 0.049 0.252 0.014 1
H1 0.284 0.636 0.406 1
H2 0.296 0.766 0.099 1
I1 0.144 0.990 0.807 1
I2 0.151 0.496 0.806 1
I3 0.477 0.242 0.492 1
```

Main lines, sorted by position (10° ≤ 2θ ≤ 80°):
2θ/deg  I_rel  hkl
17.7  43  1 0 0
22.3  100  1 0 1
26.5  46  -1 2 1
26.8  49  0 2 -2
27.6  34  1 2 -1
29.1  43  0 2 2
29.4  14  1 0 -3
30.3  31  1 2 -2
41.2  21  0 4 0
41.5  21  1 -2 3
45.2  16  1 -4 1
45.5  17  2 0 -4


Record 6
Structure and calculated X-ray diffraction stick pattern of Cs2Nb3Cl9 (a structure optimized by DFT (GGA-PBE); a wavelength of 1.5418 Å).

Structural model:
```
data_Cs2Nb3Cl9
_space_group_name_H-M_alt 'C 1 2/m 1'
_space_group_IT_number 12
_cell_length_a 10.952
_cell_length_b 17.962
_cell_length_c 10.302
_cell_angle_alpha 90.00
_cell_angle_beta 116.89
_cell_angle_gamma 90.00
loop_
_space_group_symop_operation_xyz
'x,y,z'
'-x,-y,-z'
'-x,y,-z'
'x,-y,z'
'x+1/2,y+1/2,z'
'-x+1/2,-y+1/2,-z'
'-x+1/2,y+1/2,-z'
'x+1/2,-y+1/2,z'
loop_
_atom_site_label
_atom_site_fract_x
_atom_site_fract_y
_atom_site_fract_z
_atom_site_occupancy
Cs1 0.111 0.158 0.318 1
Nb1 0.111 0.500 0.880 1
Nb2 0.129 0.418 0.137 1
Cl1 0.000 0.306 0.000 1
Cl2 0.022 0.403 0.301 1
Cl3 0.195 0.000 0.679 1
Cl4 0.207 0.185 0.688 1
Cl5 0.218 0.098 0.981 1
Cl6 0.250 0.000 0.268 1
```

Main lines, sorted by position (10° ≤ 2θ ≤ 80°):
2θ/deg  I_rel  hkl
10.3  63  1 1 0
11.0  100  1 1 -1
13.8  58  0 2 1
16.2  43  2 0 -1
16.7  35  1 1 1
17.4  66  1 3 0
22.8  60  1 3 -2
30.1  34  3 1 -3
31.4  69  2 4 1
35.4  41  1 5 2
39.9  33  4 0 -4
44.5  40  2 6 2


Record 7
Structure and calculated X-ray diffraction stick pattern of Be5FeCo6 (a structure optimized by DFT (GGA-PBE); a wavelength of 1.5418 Å).

Structural model:
```
data_Be5FeCo6
_space_group_name_H-M_alt 'C m m m'
_space_group_IT_number 65
_space_group_name_Hall '-C 2 2'
_cell_length_a 3.721
_cell_length_b 11.140
_cell_length_c 5.283
_cell_angle_alpha 90.00
_cell_angle_beta 90.00
_cell_angle_gamma 90.00
loop_
_atom_site_label
_atom_site_fract_x
_atom_site_fract_y
_atom_site_fract_z
_atom_site_occupancy
Be1 0.000 0.000 0.000 1
Be2 0.000 0.335 0.500 1
Be3 0.000 0.336 0.000 1
Fe1 0.000 0.000 0.500 1
Co1 0.000 0.170 0.244 1
Co2 0.000 0.500 0.240 1
```

Main lines, sorted by position (10° ≤ 2θ ≤ 80°):
2θ/deg  I_rel  hkl
15.9  4  0 2 0
23.2  4  0 2 1
25.2  3  1 1 0
30.5  5  1 1 1
33.9  22  0 0 2
34.1  44  1 3 0
38.2  4  1 3 1
48.9  100  2 0 0
49.1  20  0 6 0
61.0  15  2 0 2
71.4  6  0 0 4
71.8  12  2 6 0


Record 8
Structure and calculated X-ray diffraction stick pattern of YB3O6 (a structure optimized by DFT (GGA-PBE); a wavelength of 1.5418 Å).

Structural model:
```
data_YB3O6
_space_group_name_H-M_alt 'P c a 21'
_space_group_IT_number 29
_cell_length_a 18.400
_cell_length_b 4.443
_cell_length_c 4.270
_cell_angle_alpha 90.00
_cell_angle_beta 90.00
_cell_angle_gamma 90.00
loop_
_space_group_symop_operation_xyz
'x,y,z'
'-x,-y,z+1/2'
'-x+1/2,y,z+1/2'
'x+1/2,-y,z'
loop_
_atom_site_label
_atom_site_fract_x
_atom_site_fract_y
_atom_site_fract_z
_atom_site_occupancy
Y1 0.165 0.181 0.000 1
B1 0.001 0.825 0.098 1
B2 0.074 0.671 0.570 1
B3 0.213 0.645 0.523 1
O1 0.016 0.867 0.741 1
O2 0.063 0.356 0.656 1
O3 0.069 0.732 0.235 1
O4 0.146 0.765 0.674 1
O5 0.209 0.317 0.515 1
O6 0.223 0.757 0.202 1
```

Main lines, sorted by position (10° ≤ 2θ ≤ 80°):
2θ/deg  I_rel  hkl
20.6  33  1 1 0
23.0  40  2 0 1
28.5  46  4 0 1
29.1  28  6 0 0
30.6  32  2 1 1
31.6  44  5 1 0
32.5  100  3 1 1
40.6  30  0 2 0
44.8  27  8 0 1
45.4  35  7 1 1
47.5  46  1 1 2
53.8  38  9 1 1